For CeAg2PbBr8, a crystal structure in Alexandria, relaxed with GGA-PBE gives the computed powder XRD pattern in this record (Cu Kα, 1.54184 Å).
Neutral-atom scattering factors, no anomalous dispersion.

Structure:
a b c (Å): 7.079 7.333 8.926
angles (deg): 106.21 90.17 101.55
Space group P-1 (No. 2)
Unique sites:
Ce (0.000, 0.000, 0.000) [1 per cell]
Ag (0.471, 0.659, 0.684) [2 per cell]
Pb (0.000, 0.000, 0.500) [1 per cell]
Br (0.102, 0.756, 0.713) [2 per cell]
Br (0.125, 0.786, 0.182) [2 per cell]
Br (0.365, 0.239, 0.030) [2 per cell]
Br (0.398, 0.258, 0.575) [2 per cell]

Top 10 peaks for 2θ from 10° to 90°, in order of rising 2θ:
two_theta  intensity  h k l
12.84  649  0 1 0
16.14  1000  1 -1 0
20.00  748  1 1 0
25.74  602  2 0 0
28.65  664  -1 1 2
29.32  607  1 -2 2
31.26  640  2 1 0
40.43  567  0 1 -4
42.45  994  2 -3 0
43.36  991  3 0 -2